Starting from DFT lattice parameters and positions (PBE+U), the powder XRD pattern of MoH4O5 was calculated for Cu Kα (λ = 1.5418 Å).
No peak broadening, texture or thermal motion is included.

Peak list (6 most intense, 2θ = 10–80°, in order of rising 2θ)
6.003 Å, I = 100.0, (0 0 1); 4.769 Å, I = 58.7, (1 0 0); 4.188 Å, I = 71.1, (1 0 -1); 3.936 Å, I = 37.1, (0 2 0); 3.292 Å, I = 45.7, (0 2 1); 3.036 Å, I = 43.5, (1 2 0)

Atomic structure:
```
data_MoH4O5
_cell_length_a 4.878
_cell_length_b 7.872
_cell_length_c 6.140
_cell_angle_alpha 90.00
_cell_angle_beta 102.15
_cell_angle_gamma 90.00
_space_group_name_H-M_alt 'P 1 21 1'
_space_group_IT_number 4
_space_group_name_Hall 'P 2yb'
loop_
_atom_site_label
_atom_site_type_symbol
_atom_site_fract_x
_atom_site_fract_y
_atom_site_fract_z
_atom_site_occupancy
Mo1 Mo 0.017 0.000 0.028 1
H1 H 0.225 0.793 0.504 1
H2 H 0.347 0.362 0.306 1
H3 H 0.361 0.634 0.417 1
H4 H 0.422 0.846 0.236 1
O1 O 0.083 0.513 0.720 1
O2 O 0.085 0.215 0.966 1
O3 O 0.247 0.469 0.255 1
O4 O 0.378 0.908 0.086 1
O5 O 0.404 0.754 0.474 1
```